The following is a simulated powder X-ray diffraction pattern of Hf4NbRh. It was derived from a cell relaxed with GGA-PBE, using Cu Kα, 1.54184 Å.
Intensities are scaled so that the largest is 100.

Atomic structure:
Cell lengths 7.973, 12.187, 5.527 Å; angles 90.00, 111.60, 90.00 degrees
Space group C2/c (No. 15)
One atom of each set of equivalent atoms:
Hf1 0.117 0.183 0.066 (multiplicity 8)
Hf2 0.209 0.415 0.346 (multiplicity 8)
Nb1 0.000 0.387 0.750 (multiplicity 4)
Rh1 0.000 0.001 0.750 (multiplicity 4)

Main lines, sorted by position (10 to 80 degrees two-theta):
2θ/deg	I_rel
33.03	31
33.25	56
34.21	39
34.79	90
37.77	100
38.16	56
38.89	55
39.44	53



The following is a simulated powder X-ray diffraction pattern of HfNb3Ru4. It was derived from a cell relaxed with GGA-PBE, using Cu Kα, 1.54184 Å.
Intensities are scaled so that the largest is 100.

Atomic structure:
Cell lengths 3.345, 4.426, 8.833 Å; angles 90.00, 90.00, 90.00 degrees
Space group Pmmm (No. 47)
One atom of each set of equivalent atoms:
Hf1 0.000 0.000 0.000 (multiplicity 1)
Nb1 0.000 0.000 0.500 (multiplicity 1)
Nb2 0.000 0.500 0.258 (multiplicity 2)
Ru1 0.500 0.000 0.252 (multiplicity 2)
Ru2 0.500 0.500 0.000 (multiplicity 1)
Ru3 0.500 0.500 0.500 (multiplicity 1)

Main lines, sorted by position (10 to 80 degrees two-theta):
2θ/deg	I_rel
10.01	3
39.45	100
40.82	46
54.89	9
59.09	16
70.61	18
73.33	16
73.46	15



The following is a simulated powder X-ray diffraction pattern of HfNbS6. It was derived from a cell relaxed with GGA-PBE, using Cu Kα, 1.54184 Å.
Intensities are scaled so that the largest is 100.

Atomic structure:
Cell lengths 5.884, 6.107, 6.107 Å; angles 67.85, 61.51, 69.70 degrees
Space group P-1 (No. 2)
One atom of each set of equivalent atoms:
Hf1 0.000 0.000 0.000 (multiplicity 1)
Nb1 0.500 0.500 0.500 (multiplicity 1)
S1 0.045 0.641 0.831 (multiplicity 2)
S2 0.325 0.744 0.184 (multiplicity 2)
S3 0.335 0.146 0.534 (multiplicity 2)

Main lines, sorted by position (10 to 80 degrees two-theta):
2θ/deg	I_rel
19.00	100
20.24	50
21.22	45
29.15	45
29.81	61
38.57	38
41.37	21
41.62	19